Computed PXRD pattern
Compound: Dy4BClO7
Radiation: Cu Kα X-rays
Structure: a PBE-relaxed structure
Kinematic intensities with the Lorentz-polarization factor, no thermal factor.

Atomic structure:
Cell lengths 8.654, 8.058, 12.295 Å; angles 90.00, 119.56, 90.00 degrees
Space group P2_1/c (No. 14)
Inequivalent atoms, fractional coordinates:
Dy  0.069  0.138  0.418 [4 per cell]
Dy  0.074  0.617  0.408 [4 per cell]
Dy  0.297  0.125  0.779 [4 per cell]
Dy  0.317  0.615  0.778 [4 per cell]
B  0.370  0.130  0.087 [4 per cell]
Cl  0.377  0.649  0.028 [4 per cell]
O  0.043  0.123  0.597 [4 per cell]
O  0.074  0.622  0.593 [4 per cell]
O  0.180  0.117  0.282 [4 per cell]
O  0.188  0.636  0.273 [4 per cell]
O  0.273  0.113  0.958 [4 per cell]
O  0.390  0.213  0.637 [4 per cell]
O  0.436  0.505  0.664 [4 per cell]

The 10 most intense peaks (15° ≤ 2θ ≤ 90°), sorted by position:
2θ (°), I/Imax, index
24.50, 383, 1 2 -1
24.72, 396, 1 0 2
29.96, 614, 2 0 -4
30.50, 1000, 2 2 -1
33.56, 597, 0 2 3
35.29, 236, 2 0 2
45.00, 230, 0 4 0
46.85, 263, 3 2 1
51.48, 270, 4 2 -5
55.01, 355, 2 4 -4